1.
# SnHg2W
Calculated PXRD pattern, Cu Kα (weighted mean of Kα1 and Kα2). Input: DFT lattice parameters and positions (GGA-PBE).
Neutral-atom scattering factors, no anomalous dispersion.

Main lines, sorted by position (2θ from 15° to 90°):
- d = 2.870 Å, 31.16 deg, rel. 100
- d = 2.514 Å, 35.71 deg, rel. 77
- d = 2.030 Å, 44.65 deg, rel. 34
- d = 1.891 Å, 48.11 deg, rel. 60
- d = 1.579 Å, 58.44 deg, rel. 15
- d = 1.384 Å, 67.72 deg, rel. 18
- d = 1.322 Å, 71.34 deg, rel. 20
- d = 1.108 Å, 88.19 deg, rel. 20

Structural model:
```
SnHg2W
1.0
-4.059 4.059 2.797
4.059 -4.059 2.797
4.059 4.059 -2.797
Sn Hg W
2 4 2
Cartesian
0.000 0.000 0.000
0.000 4.059 1.398
2.030 -1.757 2.098
2.303 2.030 0.699
2.030 5.816 -0.699
1.757 2.030 3.496
4.059 0.000 1.398
0.000 0.000 2.797
```



2.
# Y2Sn4Hg
Calculated PXRD pattern, Cu Kα (weighted mean of Kα1 and Kα2). Input: DFT lattice parameters and positions (GGA-PBE).
Neutral-atom scattering factors, no anomalous dispersion.

Main lines, sorted by position (2θ from 15° to 90°):
- d = 5.296 Å, 16.74 deg, rel. 29
- d = 2.648 Å, 33.85 deg, rel. 100
- d = 2.307 Å, 39.05 deg, rel. 17
- d = 2.287 Å, 39.40 deg, rel. 33
- d = 1.624 Å, 56.68 deg, rel. 23
- d = 1.389 Å, 67.44 deg, rel. 14
- d = 1.381 Å, 67.86 deg, rel. 14
- d = 1.379 Å, 67.98 deg, rel. 14

Structural model:
```
Y2Sn4Hg
1.0
0.000 4.579 4.613
4.569 0.000 4.613
4.569 4.579 0.000
Y Sn Hg
2 4 1
Cartesian
2.284 2.289 0.000
2.284 2.289 4.613
2.284 0.000 2.307
4.569 2.289 2.307
0.000 2.289 2.307
2.284 4.579 2.307
0.000 0.000 0.000
```



3.
# Y3SnHg
Calculated PXRD pattern, Cu Kα (weighted mean of Kα1 and Kα2). Input: DFT lattice parameters and positions (GGA-PBE).
Neutral-atom scattering factors, no anomalous dispersion.

Main lines, sorted by position (2θ from 15° to 90°):
- d = 4.662 Å, 19.04 deg, rel. 31
- d = 4.061 Å, 21.89 deg, rel. 26
- d = 3.228 Å, 27.63 deg, rel. 26
- d = 2.857 Å, 31.30 deg, rel. 28
- d = 2.738 Å, 32.71 deg, rel. 100
- d = 2.704 Å, 33.13 deg, rel. 75
- d = 2.559 Å, 35.06 deg, rel. 37
- d = 2.361 Å, 38.12 deg, rel. 42

Structural model:
```
Y3SnHg
1.0
9.938 -4.512 0.000
9.938 4.512 0.000
-2.385 0.000 6.462
Y Sn Hg
12 4 4
Cartesian
1.246 1.135 4.135
6.685 2.270 6.140
2.438 -1.135 0.904
9.613 2.270 3.553
4.982 0.008 3.676
6.175 -0.008 0.445
11.316 0.008 6.017
12.509 -0.008 2.786
7.878 -2.270 2.909
15.053 1.135 5.558
10.806 -2.270 0.322
16.245 -1.135 2.327
3.699 1.767 1.359
2.507 -1.767 4.590
14.984 1.767 1.872
13.792 -1.767 5.103
9.342 4.510 1.616
8.149 -4.510 4.847
9.342 0.001 1.616
8.149 -0.001 4.847
```



4.
# Zr4SnHg3
Calculated PXRD pattern, Cu Kα (weighted mean of Kα1 and Kα2). Input: DFT lattice parameters and positions (GGA-PBE).
Neutral-atom scattering factors, no anomalous dispersion.

Main lines, sorted by position (2θ from 15° to 90°):
- d = 2.557 Å, 35.09 deg, rel. 100
- d = 2.256 Å, 39.96 deg, rel. 18
- d = 2.246 Å, 40.15 deg, rel. 17
- d = 2.146 Å, 42.10 deg, rel. 15
- d = 1.592 Å, 57.93 deg, rel. 12
- d = 1.354 Å, 69.43 deg, rel. 14
- d = 1.349 Å, 69.70 deg, rel. 13
- d = 1.305 Å, 72.41 deg, rel. 12

Structural model:
```
Zr4SnHg3
1.0
4.293 0.000 0.000
0.000 4.513 0.000
0.000 0.000 8.984
Zr Sn Hg
4 1 3
Cartesian
0.000 0.000 0.000
0.000 0.000 4.492
0.000 2.256 2.229
0.000 2.256 6.755
2.146 2.256 0.000
2.146 0.000 2.294
2.146 0.000 6.690
2.146 2.256 4.492
```



5.
# Zr7SnHg3
Calculated PXRD pattern, Cu Kα (weighted mean of Kα1 and Kα2). Input: DFT lattice parameters and positions (GGA-PBE).
Neutral-atom scattering factors, no anomalous dispersion.

Main lines, sorted by position (2θ from 15° to 90°):
- d = 4.670 Å, 19.00 deg, rel. 22
- d = 3.476 Å, 25.63 deg, rel. 30
- d = 2.691 Å, 33.30 deg, rel. 58
- d = 2.607 Å, 34.40 deg, rel. 39
- d = 2.476 Å, 36.28 deg, rel. 27
- d = 2.394 Å, 37.57 deg, rel. 100
- d = 1.872 Å, 48.63 deg, rel. 31
- d = 1.489 Å, 62.35 deg, rel. 23

Structural model:
```
Zr7SnHg3
1.0
-2.690 4.670 5.215
2.690 -4.670 5.215
2.690 4.670 -5.215
Zr Sn Hg
7 1 3
Cartesian
0.000 0.000 0.000
2.690 -1.639 2.821
2.690 2.893 0.000
2.690 1.639 2.821
0.000 3.031 2.393
0.000 1.777 5.215
0.000 6.309 2.393
2.690 0.000 0.000
0.000 0.000 2.860
0.000 4.670 0.000
0.000 0.000 7.569
```



6.
# Zr12SnHg3
Calculated PXRD pattern, Cu Kα (weighted mean of Kα1 and Kα2). Input: DFT lattice parameters and positions (GGA-PBE).
Neutral-atom scattering factors, no anomalous dispersion.

Main lines, sorted by position (2θ from 15° to 90°):
- d = 2.569 Å, 34.92 deg, rel. 100
- d = 2.228 Å, 40.50 deg, rel. 33
- d = 2.220 Å, 40.64 deg, rel. 16
- d = 1.575 Å, 58.61 deg, rel. 11
- d = 1.572 Å, 58.72 deg, rel. 22
- d = 1.343 Å, 70.07 deg, rel. 26
- d = 1.340 Å, 70.27 deg, rel. 13
- d = 1.285 Å, 73.76 deg, rel. 11

Structural model:
```
Zr12SnHg3
1.0
4.455 0.000 0.000
0.000 4.455 0.000
0.000 0.000 17.760
Zr Sn Hg
12 1 3
Cartesian
0.000 0.000 0.000
0.000 0.000 4.422
0.000 0.000 8.880
0.000 0.000 13.338
0.000 2.228 2.223
0.000 2.228 6.673
0.000 2.228 11.087
0.000 2.228 15.537
2.228 0.000 2.223
2.228 0.000 6.673
2.228 0.000 11.087
2.228 0.000 15.537
2.228 2.228 8.880
2.228 2.228 0.000
2.228 2.228 4.432
2.228 2.228 13.329
```



7.
# Zr6SnHg2
Calculated PXRD pattern, Cu Kα (weighted mean of Kα1 and Kα2). Input: DFT lattice parameters and positions (GGA-PBE).
Neutral-atom scattering factors, no anomalous dispersion.

Main lines, sorted by position (2θ from 15° to 90°):
- d = 3.970 Å, 22.39 deg, rel. 36
- d = 2.739 Å, 32.69 deg, rel. 100
- d = 2.599 Å, 34.51 deg, rel. 30
- d = 2.545 Å, 35.27 deg, rel. 91
- d = 2.292 Å, 39.30 deg, rel. 90
- d = 2.143 Å, 42.18 deg, rel. 54
- d = 1.459 Å, 63.78 deg, rel. 43
- d = 1.456 Å, 63.93 deg, rel. 41

Structural model:
```
Zr6SnHg2
1.0
7.941 0.000 0.000
-3.970 6.877 0.000
0.000 0.000 3.784
Zr Sn Hg
6 1 2
Cartesian
-1.093 1.893 0.000
-2.414 4.181 1.892
2.185 0.000 0.000
1.557 2.696 1.892
4.828 0.000 1.892
2.878 4.984 0.000
0.000 0.000 1.892
0.000 4.585 0.000
3.970 2.292 0.000
```



8.
# SrHg11
Calculated PXRD pattern, Cu Kα (weighted mean of Kα1 and Kα2). Input: DFT lattice parameters and positions (GGA-PBE).
Neutral-atom scattering factors, no anomalous dispersion.

Main lines, sorted by position (2θ from 15° to 90°):
- d = 3.209 Å, 27.80 deg, rel. 27
- d = 2.748 Å, 32.59 deg, rel. 100
- d = 2.650 Å, 33.82 deg, rel. 72
- d = 2.537 Å, 35.38 deg, rel. 35
- d = 1.724 Å, 53.11 deg, rel. 20
- d = 1.654 Å, 55.56 deg, rel. 18
- d = 1.555 Å, 59.45 deg, rel. 18
- d = 1.426 Å, 65.45 deg, rel. 16

Structural model:
```
SrHg11
1.0
-7.176 7.176 3.452
7.176 -7.176 3.452
7.176 7.176 -3.452
Sr Hg
2 22
Cartesian
7.176 3.588 0.863
0.000 3.588 2.589
0.000 0.000 0.000
3.588 3.588 -1.726
3.588 -3.588 1.726
5.441 -1.191 0.926
8.911 -1.191 0.926
7.176 -3.588 2.589
2.397 1.853 0.800
11.955 1.853 0.800
5.441 5.985 -0.926
1.735 -1.191 2.526
2.397 5.323 0.800
4.779 -1.853 4.252
0.000 7.176 0.000
2.397 9.029 -0.800
4.779 1.853 2.652
5.441 8.367 0.926
1.735 1.191 4.378
-4.779 5.323 2.652
4.779 5.323 2.652
0.000 10.764 0.863
-1.735 8.367 2.526
1.735 8.367 2.526
```